No. 1
The following is a theoretical powder XRD pattern of Hf4Hg. It was derived from a structure optimized by DFT (PBE), using Cu Kα, 1.54184 Å.
Kinematic intensities with the Lorentz-polarization factor, no thermal factor.

Largest 6 diffraction maxima, by angle, 10 to 90 degrees two-theta:
2θ (°), intensity
35.44, 87
35.60, 100
37.48, 44
38.27, 35
66.35, 31
72.55, 26

Atomic structure:
```
data_Hf4Hg
_chemical_formula_sum 'Hf16 Hg4'
_symmetry_space_group_name_H-M 'I m m a'
_symmetry_Int_Tables_number 74
_symmetry_space_group_name_Hall '-I 2b 2'
_cell_length_a 4.7997
_cell_length_b 6.0875
_cell_length_c 14.8196
_cell_angle_alpha 90.00
_cell_angle_beta 90.00
_cell_angle_gamma 90.00
loop_
_atom_site_label
_atom_site_fract_x
_atom_site_fract_y
_atom_site_fract_z
Hf1 0.0000 0.0000 0.0000
Hf2 0.0000 0.0044 0.1968
Hf3 0.0000 0.2500 0.3947
Hg1 0.0000 0.2500 0.6048
```

***

No. 2
The following is a theoretical powder XRD pattern of Hf3Hg2I9. It was derived from a structure optimized by DFT (PBE), using Cu Kα, 1.54184 Å.
Kinematic intensities with the Lorentz-polarization factor, no thermal factor.

Largest 6 diffraction maxima, by angle, 10 to 90 degrees two-theta:
2θ (°), intensity
17.58, 36
22.12, 29
25.20, 43
27.65, 100
30.69, 71
47.72, 40

Atomic structure:
```
data_Hf3Hg2I9
_chemical_formula_sum 'Hf12 Hg8 I36'
_symmetry_space_group_name_H-M 'C 1 2/m 1'
_symmetry_Int_Tables_number 12
_cell_length_a 11.8365
_cell_length_b 21.6789
_cell_length_c 11.2427
_cell_angle_alpha 90.00
_cell_angle_beta 116.16
_cell_angle_gamma 90.00
loop_
_symmetry_equiv_pos_as_xyz
'x,y,z'
'-x,-y,-z'
'-x,y,-z'
'x,-y,z'
'x+1/2,y+1/2,z'
'-x+1/2,-y+1/2,-z'
'-x+1/2,y+1/2,-z'
'x+1/2,-y+1/2,z'
loop_
_atom_site_label
_atom_site_fract_x
_atom_site_fract_y
_atom_site_fract_z
Hf1 0.1281 0.0000 0.3564
Hf2 0.1527 0.0885 0.6585
Hg1 0.1202 0.3276 0.7741
I1 0.0000 0.1878 0.5000
I2 0.0234 0.0939 0.8218
I3 0.1757 0.5000 0.1640
I4 0.1874 0.3215 0.1759
I5 0.1985 0.4068 0.4845
I6 0.2344 0.5000 0.7925
```

***

No. 3
The following is a theoretical powder XRD pattern of HfTl2HgI6. It was derived from a structure optimized by DFT (PBE), using Cu Kα, 1.54184 Å.
Kinematic intensities with the Lorentz-polarization factor, no thermal factor.

Largest 6 diffraction maxima, by angle, 10 to 90 degrees two-theta:
2θ (°), intensity
14.15, 52
20.78, 26
23.73, 58
31.04, 100
36.40, 45
48.57, 24

Atomic structure:
```
data_HfTl2HgI6
_chemical_formula_sum 'Hf3 Tl6 Hg3 I18'
_symmetry_space_group_name_H-M 'R 3'
_symmetry_Int_Tables_number 146
_symmetry_space_group_name_Hall 'R 3'
_cell_length_a 8.5510
_cell_length_b 8.5510
_cell_length_c 23.3981
_cell_angle_alpha 90.00
_cell_angle_beta 90.00
_cell_angle_gamma 120.00
loop_
_atom_site_label
_atom_site_fract_x
_atom_site_fract_y
_atom_site_fract_z
Hf1 0.0000 0.0000 0.0000
Tl1 0.0000 0.0000 0.1828
Tl2 0.0000 0.0000 0.6573
Hg1 0.0000 0.0000 0.4998
I1 0.0156 0.2800 0.9296
I2 0.0727 0.6898 0.7383
```